For In17Ga11Ge, the PBE geometry in Alexandria gives the computed X-ray powder pattern in this record (Cu Ka).
Intensities are scaled so that the largest is 1000.

Most intense lines, 5° ≤ 2θ ≤ 70°, in order of rising 2θ:
2θ/deg  d/Å  I (rel.)
31.01  2.883  436
31.69  2.824  1000
31.79  2.815  385
34.16  2.625  460
34.51  2.599  419
34.97  2.566  562
36.73  2.447  451
39.43  2.285  420

Crystal structure
```
29
Lattice="5.661 -7.184 0.000 5.661 7.184 0.000 -3.516 0.000 8.650" Properties=species:S:1:pos:R:3 pbc="T T T"
In 0.000 0.000 0.000
In 3.525 4.358 0.362
In 0.080 0.000 6.621
In 3.636 2.788 3.410
In 1.594 0.000 3.279
In 3.814 4.329 6.673
In 5.628 2.013 0.083
In 7.133 1.826 2.958
In 3.525 -4.358 0.362
In 6.333 2.039 6.077
In 3.636 -2.788 3.410
In 5.628 -2.013 0.083
In 4.477 0.000 8.292
In 7.133 -1.826 2.958
In 3.814 -4.329 6.673
In 6.333 -2.039 6.077
In 8.678 0.000 5.176
Ga 0.420 2.714 4.441
Ga 4.394 5.849 2.780
Ga 2.814 1.376 0.601
Ga 2.487 1.646 5.916
Ga 6.431 4.407 1.543
Ga 2.814 -1.376 0.601
Ga 0.420 -2.714 4.441
Ga 4.812 0.000 2.366
Ga 2.487 -1.646 5.916
Ga 4.394 -5.849 2.780
Ga 6.431 -4.407 1.543
Ge 4.474 0.000 5.148
```

---

For In3Ga9Ge2, the PBE geometry in Alexandria gives the computed X-ray powder pattern in this record (Cu Ka).
Intensities are scaled so that the largest is 1000.

Most intense lines, 5° ≤ 2θ ≤ 70°, in order of rising 2θ:
2θ/deg  d/Å  I (rel.)
29.82  2.996  710
32.08  2.790  140
34.85  2.574  1000
41.14  2.194  326
43.52  2.079  175
44.73  2.026  295
47.26  1.923  347
62.39  1.488  202

Crystal structure
```
14
Lattice="-2.026 5.772 6.677 2.026 -5.772 6.677 2.026 5.772 -6.677" Properties=species:S:1:pos:R:3 pbc="T T T"
In 0.000 0.000 0.000
In 0.000 3.643 0.000
In 0.000 7.901 0.000
Ga 2.026 1.906 -1.452
Ga 2.026 4.354 -2.427
Ga 2.026 1.906 1.452
Ga 0.000 1.417 4.250
Ga 0.000 0.000 6.677
Ga 2.026 4.354 2.427
Ga 0.000 3.866 5.225
Ga 0.000 1.417 9.104
Ga 0.000 3.866 8.129
Ge 2.026 0.000 3.191
Ge 0.000 5.772 3.487
```

---

For InGa2GeO6, the PBE geometry in Alexandria gives the computed X-ray powder pattern in this record (Cu Ka).
Intensities are scaled so that the largest is 1000.

Most intense lines, 5° ≤ 2θ ≤ 70°, in order of rising 2θ:
2θ/deg  d/Å  I (rel.)
29.20  3.059  843
29.71  3.007  762
32.93  2.720  878
33.38  2.684  640
33.78  2.653  1000
56.86  1.619  389
58.94  1.567  400
61.00  1.519  364

Crystal structure
```
20
Lattice="4.918 -4.676 0.000 4.918 4.676 0.000 -0.871 0.000 5.369" Properties=species:S:1:pos:R:3 pbc="T T T"
In 4.265 3.798 4.027
In 4.701 -3.798 1.342
Ga 2.459 0.851 3.774
Ga 2.894 -0.851 1.090
Ga 6.072 0.851 4.279
Ga 6.508 -0.851 1.595
Ge 4.701 2.039 1.342
Ge 4.265 -2.039 4.027
O 0.587 0.911 3.408
O 3.061 2.220 4.883
O 1.023 -0.911 0.723
O 3.270 0.761 2.039
O 5.470 2.220 3.170
O 2.835 -0.761 4.724
O 6.131 0.761 0.645
O 3.496 -2.220 2.199
O 5.696 -0.761 3.330
O 7.943 0.911 4.646
O 5.905 -2.220 0.486
O 8.379 -0.911 1.961
```